# Y3Tm8Sc
Calculated powder diffraction line list, CuKα. Input: DFT lattice parameters and positions (PBE).
Peak positions follow from Bragg's law for the DFT cell and can differ from measured ones.

Structural model:
Unit cell a=7.559 b=7.559 c=15.186 alpha=90.00 beta=90.00 gamma=90.00
Space group I4/mmm (No. 139)
One atom of each set of equivalent atoms:
1 Y 0.000 0.000 0.000 [2 per cell]
2 Y 0.000 0.500 0.250 [4 per cell]
3 Tm 0.245 0.245 0.378 [16 per cell]
4 Sc 0.000 0.000 0.500 [2 per cell]

The 10 most intense peaks (10 to 90 degrees two-theta), by angle:
index, 2θ (°), Rel. int.
1 1 2, 20.32, 90
0 0 4, 23.43, 155
2 0 0, 23.54, 308
2 2 0, 33.48, 1000
2 2 4, 41.31, 143
4 0 0, 48.15, 119
4 2 0, 54.25, 130
2 2 8, 59.75, 123
4 2 4, 59.90, 246
6 2 0, 80.31, 104

***

# NpBe2O6
Calculated powder diffraction line list, CuKα. Input: DFT lattice parameters and positions (PBE).
Peak positions follow from Bragg's law for the DFT cell and can differ from measured ones.

Structural model:
Unit cell a=3.800 b=5.163 c=5.632 alpha=72.11 beta=87.37 gamma=72.06
Space group P-1 (No. 2)
One atom of each set of equivalent atoms:
1 Np 0.000 0.000 0.000 [1 per cell]
2 Be 0.184 0.530 0.663 [2 per cell]
3 O 0.100 0.820 0.752 [2 per cell]
4 O 0.189 0.575 0.368 [2 per cell]
5 O 0.386 0.248 0.889 [2 per cell]

The 10 most intense peaks (10 to 90 degrees two-theta), by angle:
index, 2θ (°), Rel. int.
0 0 1, 16.56, 1000
0 1 0, 18.99, 564
0 1 1, 21.03, 777
1 0 0, 24.66, 493
1 1 0, 26.11, 384
0 1 -1, 29.01, 512
1 0 1, 30.61, 222
0 1 2, 33.05, 223
1 1 -1, 33.50, 328
1 -1 1, 42.83, 313

***

# ErPaGePd
Calculated powder diffraction line list, CuKα. Input: DFT lattice parameters and positions (PBE).
Peak positions follow from Bragg's law for the DFT cell and can differ from measured ones.

Structural model:
Unit cell a=7.076 b=7.076 c=7.076 alpha=90.00 beta=90.00 gamma=90.00
Space group F-43m (No. 216)
One atom of each set of equivalent atoms:
1 Er 0.000 0.000 0.000 [4 per cell]
2 Pa 0.000 0.000 0.500 [4 per cell]
3 Ge 0.250 0.250 0.250 [4 per cell]
4 Pd 0.250 0.250 0.750 [4 per cell]

The 10 most intense peaks (10 to 90 degrees two-theta), by angle:
index, 2θ (°), Rel. int.
1 1 1, 21.76, 33
2 0 0, 25.17, 157
2 2 0, 35.90, 1000
2 2 2, 44.35, 49
4 0 0, 51.67, 178
4 2 0, 58.32, 69
4 2 2, 64.52, 366
4 4 0, 76.10, 114
6 0 0, 81.65, 35
6 2 0, 87.12, 166

***

Q: What is the formula in the third record?
A: ErPaGePd

***

What did the first record say?
# Y3Tm8Sc
Calculated powder diffraction line list, CuKα. Input: DFT lattice parameters and positions (PBE).
Peak positions follow from Bragg's law for the DFT cell and can differ from measured ones.

Structural model:
Unit cell a=7.559 b=7.559 c=15.186 alpha=90.00 beta=90.00 gamma=90.00
Space group I4/mmm (No. 139)
One atom of each set of equivalent atoms:
1 Y 0.000 0.000 0.000 [2 per cell]
2 Y 0.000 0.500 0.250 [4 per cell]
3 Tm 0.245 0.245 0.378 [16 per cell]
4 Sc 0.000 0.000 0.500 [2 per cell]

The 10 most intense peaks (10 to 90 degrees two-theta), by angle:
index, 2θ (°), Rel. int.
1 1 2, 20.32, 90
0 0 4, 23.43, 155
2 0 0, 23.54, 308
2 2 0, 33.48, 1000
2 2 4, 41.31, 143
4 0 0, 48.15, 119
4 2 0, 54.25, 130
2 2 8, 59.75, 123
4 2 4, 59.90, 246
6 2 0, 80.31, 104